DyMg2In9: computed powder XRD pattern (CuKα), based on DFT lattice parameters and positions (GGA-PBE).
Intensities are scaled so that the largest is 100.

Structural model:
```
DyMg2In9
1.0
4.6413 0.0000 0.0000
0.0000 4.6413 0.0000
0.0000 0.0000 13.8956
Dy Mg In
1 2 9
Direct
0.0000 0.0000 0.0000
0.0000 0.0000 0.3305
0.0000 0.0000 0.6695
0.0000 0.5000 0.1705
0.0000 0.5000 0.5000
0.0000 0.5000 0.8295
0.5000 0.0000 0.1705
0.5000 0.0000 0.5000
0.5000 0.0000 0.8295
0.5000 0.5000 0.0000
0.5000 0.5000 0.3332
0.5000 0.5000 0.6668
```

Principal peaks in the range 5° ≤ 2θ ≤ 70°, by angle:
2θ 6.36, I 10; 2θ 19.14, I 4; 2θ 20.17, I 4; 2θ 23.05, I 3; 2θ 27.19, I 3; 2θ 33.46, I 100; 2θ 38.83, I 50; 2θ 56.08, I 33; 2θ 66.87, I 26; 2θ 66.98, I 13


DyMgIn6: computed powder XRD pattern (CuKα), based on DFT lattice parameters and positions (GGA-PBE).
Intensities are scaled so that the largest is 100.

Structural model:
```
DyMgIn6
1.0
4.6721 -4.6798 0.0000
4.6721 4.6798 0.0000
0.0000 0.0000 4.5867
Dy Mg In
1 1 6
Direct
0.0000 0.0000 0.0000
0.5000 0.5000 0.0000
0.0000 0.5000 0.0000
0.2531 0.7469 0.5000
0.2536 0.2536 0.5000
0.5000 0.0000 0.0000
0.7464 0.7464 0.5000
0.7469 0.2531 0.5000
```

Principal peaks in the range 5° ≤ 2θ ≤ 70°, by angle:
2θ 13.39, I 8; 2θ 23.61, I 6; 2θ 30.22, I 3; 2θ 33.41, I 100; 2θ 38.51, I 34; 2θ 39.29, I 16; 2θ 55.59, I 11; 2θ 56.18, I 22; 2θ 66.43, I 26; 2θ 67.49, I 12


Dy3MgIn: computed powder XRD pattern (CuKα), based on DFT lattice parameters and positions (GGA-PBE).
Intensities are scaled so that the largest is 100.

Structural model:
```
Dy3MgIn
1.0
2.5486 -10.7420 0.0000
2.5486 10.7420 0.0000
0.0000 0.0000 5.0954
Dy Mg In
6 2 2
Direct
0.0561 0.9439 0.7500
0.2498 0.7502 0.7500
0.4416 0.5584 0.7500
0.5584 0.4416 0.2500
0.7502 0.2498 0.2500
0.9439 0.0561 0.2500
0.1533 0.8467 0.2500
0.8467 0.1533 0.7500
0.3442 0.6558 0.2500
0.6558 0.3442 0.7500
```

Principal peaks in the range 5° ≤ 2θ ≤ 70°, by angle:
2θ 24.87, I 6; 2θ 25.06, I 12; 2θ 32.43, I 100; 2θ 35.22, I 41; 2θ 42.06, I 11; 2θ 43.59, I 5; 2θ 50.66, I 15; 2θ 55.98, I 19; 2θ 61.45, I 32; 2θ 67.89, I 11